(1)
Calculated XRD peak list
Compound: RbSbAu2Br
Radiation: copper Kα
Structure: a DFT-relaxed cell (PBE, Alexandria)
Kinematic intensities with the Lorentz-polarization factor, no thermal factor.

Cell: 5.301 5.301 6.163 Å, 90.00 90.00 90.00°
Space group P4/mmm (No. 123)
Inequivalent atoms, fractional coordinates:
Rb  0.000  0.000  0.000 (multiplicity 1)
Sb  0.500  0.500  0.500 (multiplicity 1)
Au  0.000  0.500  0.500 (multiplicity 2)
Br  0.500  0.500  0.000 (multiplicity 1)

Peak list (10 most intense, 2θ from 10° to 80°, most intense first)
d (Å)  I (rel.)  index
3.203  100.0  1 1 1
2.651  72.5  2 0 0
6.163  68.8  0 0 1
2.010  65.0  2 0 2
3.082  54.2  0 0 2
1.601  31.5  2 2 2
2.435  29.8  2 0 1
1.618  27.7  3 1 1
1.874  26.2  2 2 0
1.802  19.5  1 1 3



(2)
Calculated XRD peak list
Compound: SrZnIO6
Radiation: copper Kα
Structure: a DFT-relaxed cell (PBE, Alexandria)
Kinematic intensities with the Lorentz-polarization factor, no thermal factor.

Cell: 5.3008 5.3008 5.3838 Å, 90.00 90.00 120.00°
Space group P312 (No. 149)
Inequivalent atoms, fractional coordinates:
Sr  0.0000  0.0000  0.0000 (multiplicity 1)
Zn  0.3333  0.6667  0.5000 (multiplicity 1)
I  0.6667  0.3333  0.5000 (multiplicity 1)
O  0.3906  0.0257  0.7042 (multiplicity 6)

Peak list (10 most intense, 2θ from 10° to 80°, most intense first)
d (Å)  I (rel.)  index
3.493  100.0  1 0 1
1.889  45.9  2 -1 2
2.650  35.1  1 1 0
5.384  24.0  0 0 1
1.651  21.7  3 -1 1
2.111  21.1  2 0 1
2.378  13.1  2 -1 1
1.530  13.0  3 0 0
4.591  10.0  1 0 0
1.671  9.9  1 0 3



What did the second record say?
Calculated XRD peak list
Compound: SrZnIO6
Radiation: copper Kα
Structure: a DFT-relaxed cell (PBE, Alexandria)
Kinematic intensities with the Lorentz-polarization factor, no thermal factor.

Cell: 5.3008 5.3008 5.3838 Å, 90.00 90.00 120.00°
Space group P312 (No. 149)
Inequivalent atoms, fractional coordinates:
Sr  0.0000  0.0000  0.0000 (multiplicity 1)
Zn  0.3333  0.6667  0.5000 (multiplicity 1)
I  0.6667  0.3333  0.5000 (multiplicity 1)
O  0.3906  0.0257  0.7042 (multiplicity 6)

Peak list (10 most intense, 2θ from 10° to 80°, most intense first)
d (Å)  I (rel.)  index
3.493  100.0  1 0 1
1.889  45.9  2 -1 2
2.650  35.1  1 1 0
5.384  24.0  0 0 1
1.651  21.7  3 -1 1
2.111  21.1  2 0 1
2.378  13.1  2 -1 1
1.530  13.0  3 0 0
4.591  10.0  1 0 0
1.671  9.9  1 0 3



Please write out number 2 again, unchanged.
Calculated XRD peak list
Compound: SrZnIO6
Radiation: copper Kα
Structure: a DFT-relaxed cell (PBE, Alexandria)
Kinematic intensities with the Lorentz-polarization factor, no thermal factor.

Cell: 5.3008 5.3008 5.3838 Å, 90.00 90.00 120.00°
Space group P312 (No. 149)
Inequivalent atoms, fractional coordinates:
Sr  0.0000  0.0000  0.0000 (multiplicity 1)
Zn  0.3333  0.6667  0.5000 (multiplicity 1)
I  0.6667  0.3333  0.5000 (multiplicity 1)
O  0.3906  0.0257  0.7042 (multiplicity 6)

Peak list (10 most intense, 2θ from 10° to 80°, most intense first)
d (Å)  I (rel.)  index
3.493  100.0  1 0 1
1.889  45.9  2 -1 2
2.650  35.1  1 1 0
5.384  24.0  0 0 1
1.651  21.7  3 -1 1
2.111  21.1  2 0 1
2.378  13.1  2 -1 1
1.530  13.0  3 0 0
4.591  10.0  1 0 0
1.671  9.9  1 0 3